Computed powder diffractogram of CdSb6Se8I4 for copper Kα, from a DFT-relaxed cell (GGA-PBE, OQMD).
Neutral-atom scattering factors, no anomalous dispersion.

Top 10 peaks for 2θ from 10° to 80°, sorted by position:
Position (°2θ)	intensity
13.0	64.9
27.8	26.2
28.6	58.1
28.8	72.0
30.1	100.0
32.3	40.4
32.8	28.1
42.5	31.0
43.5	33.6
46.0	25.2

Atomic structure:
abc: 7.625 9.397 9.416
angles: 94.46 108.86 95.05
Sites, in units of the cell vectors:
Cd  0.000  0.000  0.000
Sb  0.225  0.295  0.794
Sb  0.240  0.943  0.437
Sb  0.247  0.649  0.141
Sb  0.753  0.351  0.859
Sb  0.760  0.057  0.563
Sb  0.775  0.705  0.206
Se  0.094  0.316  0.033
Se  0.098  0.003  0.722
Se  0.101  0.649  0.384
Se  0.342  0.939  0.185
Se  0.658  0.061  0.815
Se  0.899  0.351  0.616
Se  0.902  0.997  0.278
Se  0.906  0.684  0.967
I  0.350  0.649  0.849
I  0.362  0.279  0.483
I  0.638  0.721  0.517
I  0.650  0.351  0.151

Computed powder diffractogram of Dy4CBr3Cl2 for copper Kα, from a DFT-relaxed cell (GGA-PBE, OQMD).
Neutral-atom scattering factors, no anomalous dispersion.

Top 10 peaks for 2θ from 10° to 80°, sorted by position:
Position (°2θ)	intensity
10.3	46.1
11.3	88.7
31.4	43.6
31.9	22.3
32.4	100.0
35.3	41.4
41.2	29.6
45.7	27.2
45.9	24.7
58.6	20.2

Atomic structure:
abc: 8.978 8.978 8.067
angles: 102.67 102.67 24.32
Sites, in units of the cell vectors:
Dy  0.000  0.000  0.202
Dy  0.000  0.000  0.798
Dy  0.360  0.360  0.925
Dy  0.640  0.640  0.075
C  0.500  0.500  0.000
Br  0.171  0.171  0.827
Br  0.500  0.500  0.500
Br  0.829  0.829  0.173
Cl  0.159  0.159  0.322
Cl  0.841  0.841  0.678

Copy entry 2 word for word.
Computed powder diffractogram of Dy4CBr3Cl2 for copper Kα, from a DFT-relaxed cell (GGA-PBE, OQMD).
Neutral-atom scattering factors, no anomalous dispersion.

Top 10 peaks for 2θ from 10° to 80°, sorted by position:
Position (°2θ)	intensity
10.3	46.1
11.3	88.7
31.4	43.6
31.9	22.3
32.4	100.0
35.3	41.4
41.2	29.6
45.7	27.2
45.9	24.7
58.6	20.2

Atomic structure:
abc: 8.978 8.978 8.067
angles: 102.67 102.67 24.32
Sites, in units of the cell vectors:
Dy  0.000  0.000  0.202
Dy  0.000  0.000  0.798
Dy  0.360  0.360  0.925
Dy  0.640  0.640  0.075
C  0.500  0.500  0.000
Br  0.171  0.171  0.827
Br  0.500  0.500  0.500
Br  0.829  0.829  0.173
Cl  0.159  0.159  0.322
Cl  0.841  0.841  0.678